(1)
Simulated X-ray powder pattern of SrGaHg6 for Cu Kα X-rays, from the PBE geometry in Alexandria.
Kinematic intensities with the Lorentz-polarization factor, no thermal factor.

Crystal structure
Cell lengths 5.088, 5.852, 8.093 Å; angles 107.18, 90.95, 111.50 degrees
Fractional positions:
Sr  0.000  0.000  0.000
Ga  0.000  0.000  0.500
Hg  0.234  0.468  0.387
Hg  0.271  0.528  0.858
Hg  0.489  0.961  0.276
Hg  0.511  0.039  0.724
Hg  0.729  0.472  0.142
Hg  0.766  0.532  0.613

Top 10 peaks for 2θ from 10° to 80°, in order of rising 2θ:
2θ = 32.20°, d 2.780, I = 75; 2θ = 32.92°, d 2.720, I = 64; 2θ = 33.09°, d 2.707, I = 70; 2θ = 34.80°, d 2.578, I = 100; 2θ = 35.38°, d 2.537, I = 59; 2θ = 44.86°, d 2.020, I = 20; 2θ = 48.53°, d 1.876, I = 22; 2θ = 52.41°, d 1.746, I = 17; 2θ = 56.46°, d 1.630, I = 15; 2θ = 60.97°, d 1.520, I = 15

---

(2)
Simulated X-ray powder pattern of Sr2Ga2Hg for Cu Kα X-rays, from the PBE geometry in Alexandria.
Kinematic intensities with the Lorentz-polarization factor, no thermal factor.

Crystal structure
Cell lengths 3.977, 7.756, 7.756 Å; angles 36.41, 90.00, 90.00 degrees
Fractional positions:
Sr  0.000  0.000  0.000
Sr  0.000  0.241  0.241
Ga  0.500  0.627  0.627
Ga  0.500  0.812  0.812
Hg  0.500  0.423  0.423

Top 10 peaks for 2θ from 10° to 80°, in order of rising 2θ:
2θ = 12.01°, d 7.368, I = 40; 2θ = 19.28°, d 4.604, I = 20; 2θ = 29.69°, d 3.009, I = 100; 2θ = 33.15°, d 2.703, I = 41; 2θ = 34.41°, d 2.606, I = 56; 2θ = 35.65°, d 2.518, I = 72; 2θ = 37.10°, d 2.423, I = 38; 2θ = 45.60°, d 1.990, I = 30; 2θ = 50.59°, d 1.804, I = 25; 2θ = 59.21°, d 1.561, I = 33

---

(3)
Simulated X-ray powder pattern of Tb12Ga2Hg5 for Cu Kα X-rays, from the PBE geometry in Alexandria.
Kinematic intensities with the Lorentz-polarization factor, no thermal factor.

Crystal structure
Cell lengths 8.818, 8.818, 9.097 Å; angles 90.80, 90.80, 52.02 degrees
Fractional positions:
Tb  0.024  0.024  0.295
Tb  0.096  0.620  0.439
Tb  0.106  0.550  0.869
Tb  0.380  0.904  0.561
Tb  0.450  0.894  0.131
Tb  0.460  0.460  0.169
Tb  0.540  0.540  0.831
Tb  0.550  0.106  0.869
Tb  0.620  0.096  0.439
Tb  0.894  0.450  0.131
Tb  0.904  0.380  0.561
Tb  0.976  0.976  0.705
Ga  0.177  0.823  0.000
Ga  0.823  0.177  0.000
Hg  0.158  0.158  0.864
Hg  0.232  0.232  0.339
Hg  0.500  0.500  0.500
Hg  0.768  0.768  0.661
Hg  0.842  0.842  0.136

Top 10 peaks for 2θ from 10° to 80°, in order of rising 2θ:
2θ = 20.36°, d 4.362, I = 17; 2θ = 23.30°, d 3.817, I = 40; 2θ = 30.34°, d 2.946, I = 20; 2θ = 31.93°, d 2.803, I = 27; 2θ = 32.19°, d 2.780, I = 25; 2θ = 32.33°, d 2.769, I = 100; 2θ = 32.53°, d 2.752, I = 42; 2θ = 33.95°, d 2.640, I = 51; 2θ = 41.13°, d 2.195, I = 20; 2θ = 47.00°, d 1.933, I = 24

---

(4)
Simulated X-ray powder pattern of Tb3Ga3Hg2 for Cu Kα X-rays, from the PBE geometry in Alexandria.
Kinematic intensities with the Lorentz-polarization factor, no thermal factor.

Crystal structure
Cell lengths 5.997, 5.997, 14.722 Å; angles 90.00, 90.00, 136.03 degrees
Fractional positions:
Tb  0.077  0.923  0.615
Tb  0.077  0.923  0.885
Tb  0.350  0.650  0.750
Tb  0.650  0.350  0.250
Tb  0.923  0.077  0.115
Tb  0.923  0.077  0.385
Ga  0.370  0.630  0.250
Ga  0.402  0.598  0.545
Ga  0.402  0.598  0.955
Ga  0.598  0.402  0.045
Ga  0.598  0.402  0.455
Ga  0.630  0.370  0.750
Hg  0.216  0.784  0.097
Hg  0.216  0.784  0.403
Hg  0.784  0.216  0.597
Hg  0.784  0.216  0.903

Top 10 peaks for 2θ from 10° to 80°, in order of rising 2θ:
2θ = 28.10°, d 3.175, I = 31; 2θ = 31.89°, d 2.807, I = 58; 2θ = 32.47°, d 2.758, I = 83; 2θ = 32.78°, d 2.732, I = 26; 2θ = 34.47°, d 2.602, I = 19; 2θ = 36.37°, d 2.470, I = 100; 2θ = 36.62°, d 2.454, I = 28; 2θ = 39.93°, d 2.258, I = 23; 2θ = 40.16°, d 2.245, I = 58; 2θ = 55.48°, d 1.656, I = 24

---

(5)
Simulated X-ray powder pattern of Tb3GaHg3 for Cu Kα X-rays, from the PBE geometry in Alexandria.
Kinematic intensities with the Lorentz-polarization factor, no thermal factor.

Crystal structure
Cell lengths 10.476, 10.476, 10.476 Å; angles 159.75, 153.75, 33.38 degrees
Fractional positions:
Tb  0.000  0.000  0.000
Tb  0.386  0.386  0.000
Tb  0.698  0.198  0.500
Ga  0.262  0.762  0.500
Hg  0.130  0.630  0.500
Hg  0.543  0.543  0.000
Hg  0.841  0.841  0.000

Top 10 peaks for 2θ from 10° to 80°, in order of rising 2θ:
2θ = 31.99°, d 2.798, I = 100; 2θ = 33.00°, d 2.714, I = 35; 2θ = 35.64°, d 2.519, I = 30; 2θ = 36.59°, d 2.456, I = 69; 2θ = 37.81°, d 2.379, I = 43; 2θ = 41.09°, d 2.197, I = 31; 2θ = 49.48°, d 1.842, I = 20; 2θ = 51.05°, d 1.789, I = 21; 2θ = 63.09°, d 1.474, I = 29; 2θ = 63.91°, d 1.457, I = 20

---

(6)
Simulated X-ray powder pattern of Tb4Ga12Hg for Cu Kα X-rays, from the PBE geometry in Alexandria.
Kinematic intensities with the Lorentz-polarization factor, no thermal factor.

Crystal structure
Cell lengths 7.615, 7.615, 7.615 Å; angles 109.47, 109.47, 109.47 degrees
Fractional positions:
Tb  0.000  0.000  0.500
Tb  0.000  0.500  0.000
Tb  0.500  0.000  0.000
Tb  0.500  0.500  0.500
Ga  0.000  0.313  0.313
Ga  0.000  0.687  0.687
Ga  0.250  0.500  0.750
Ga  0.250  0.750  0.500
Ga  0.313  0.000  0.313
Ga  0.313  0.313  0.000
Ga  0.500  0.250  0.750
Ga  0.500  0.750  0.250
Ga  0.687  0.000  0.687
Ga  0.687  0.687  0.000
Ga  0.750  0.250  0.500
Ga  0.750  0.500  0.250
Hg  0.000  0.000  0.000

Top 10 peaks for 2θ from 10° to 80°, in order of rising 2θ:
2θ = 28.72°, d 3.109, I = 72; 2θ = 32.19°, d 2.780, I = 22; 2θ = 35.36°, d 2.538, I = 100; 2θ = 38.30°, d 2.350, I = 36; 2θ = 41.06°, d 2.198, I = 87; 2θ = 48.57°, d 1.875, I = 23; 2θ = 50.88°, d 1.795, I = 18; 2θ = 59.47°, d 1.554, I = 47; 2θ = 67.36°, d 1.390, I = 23; 2θ = 71.13°, d 1.326, I = 25

---

(7)
Simulated X-ray powder pattern of GaHg3Te4 for Cu Kα X-rays, from the PBE geometry in Alexandria.
Kinematic intensities with the Lorentz-polarization factor, no thermal factor.

Crystal structure
Cell lengths 15.200, 15.200, 15.200 Å; angles 17.92, 17.92, 17.92 degrees
Fractional positions:
Ga  0.000  0.000  0.000
Hg  0.250  0.250  0.250
Hg  0.499  0.499  0.499
Hg  0.747  0.747  0.747
Te  0.186  0.186  0.186
Te  0.434  0.434  0.434
Te  0.682  0.682  0.682
Te  0.939  0.939  0.939

Top 10 peaks for 2θ from 10° to 80°, in order of rising 2θ:
2θ = 23.09°, d 3.852, I = 100; 2θ = 23.81°, d 3.738, I = 37; 2θ = 38.00°, d 2.368, I = 56; 2θ = 38.91°, d 2.314, I = 51; 2θ = 44.94°, d 2.017, I = 17; 2θ = 45.34°, d 2.000, I = 38; 2θ = 46.13°, d 1.968, I = 13; 2θ = 55.52°, d 1.655, I = 18; 2θ = 60.27°, d 1.536, I = 15; 2θ = 69.26°, d 1.357, I = 19

---

(8)
Simulated X-ray powder pattern of Ga2Hg12Te15 for Cu Kα X-rays, from the PBE geometry in Alexandria.
Kinematic intensities with the Lorentz-polarization factor, no thermal factor.

Crystal structure
Cell lengths 8.071, 8.071, 18.871 Å; angles 94.09, 94.09, 120.00 degrees
Fractional positions:
Ga  0.167  0.833  0.000
Ga  0.833  0.167  0.000
Hg  0.039  0.369  0.608
Hg  0.136  0.136  0.815
Hg  0.220  0.564  0.194
Hg  0.302  0.302  0.401
Hg  0.369  0.039  0.608
Hg  0.438  0.740  0.815
Hg  0.564  0.220  0.194
Hg  0.634  0.965  0.401
Hg  0.700  0.700  0.610
Hg  0.740  0.438  0.815
Hg  0.909  0.909  0.194
Hg  0.965  0.634  0.401
Te  0.053  0.053  0.662
Te  0.119  0.786  0.857
Te  0.162  0.513  0.040
Te  0.257  0.257  0.248
Te  0.318  0.984  0.454
Te  0.386  0.721  0.662
Te  0.463  0.463  0.887
Te  0.513  0.162  0.040
Te  0.582  0.908  0.248
Te  0.652  0.652  0.456
Te  0.721  0.386  0.662
Te  0.786  0.119  0.857
Te  0.865  0.865  0.040
Te  0.908  0.582  0.248
Te  0.984  0.318  0.454

Top 10 peaks for 2θ from 10° to 80°, in order of rising 2θ:
2θ = 23.43°, d 3.797, I = 100; 2θ = 23.82°, d 3.736, I = 31; 2θ = 38.65°, d 2.330, I = 53; 2θ = 39.14°, d 2.301, I = 45; 2θ = 45.69°, d 1.986, I = 16; 2θ = 45.91°, d 1.977, I = 31; 2θ = 46.34°, d 1.959, I = 13; 2θ = 56.18°, d 1.637, I = 15; 2θ = 61.35°, d 1.511, I = 13; 2θ = 70.27°, d 1.340, I = 15